[1]
Tl4CdHg2Sb: calculated powder XRD pattern (Cu Kα (weighted mean of Kα1 and Kα2)), based on a DFT-relaxed cell (GGA-PBE, Alexandria).

The 8 most intense peaks (5 to 70 degrees two-theta), by angle:
- 2θ = 32.08°, rel. 523
- 2θ = 32.38°, rel. 510
- 2θ = 32.62°, rel. 1000
- 2θ = 33.03°, rel. 968
- 2θ = 46.22°, rel. 384
- 2θ = 57.53°, rel. 202
- 2θ = 57.64°, rel. 200
- 2θ = 57.79°, rel. 199

Cell and atoms:
```
Tl4CdHg2Sb
1.0
5.5312 0.0000 0.0000
0.0000 5.5809 0.0000
-0.1286 0.0000 7.5834
Tl Cd Hg Sb
4 1 2 1
Direct
0.0008 0.0000 0.2483
0.4991 0.5000 0.7492
0.5009 0.5000 0.2507
0.9992 0.0000 0.7517
0.5000 0.0000 0.5000
0.0000 0.5000 0.5000
0.5000 0.0000 0.0000
0.0000 0.5000 0.0000
```

=====

[2]
Sc2Cd3Hg4: calculated powder XRD pattern (Cu Kα (weighted mean of Kα1 and Kα2)), based on a DFT-relaxed cell (GGA-PBE, Alexandria).

The 8 most intense peaks (5 to 70 degrees two-theta), by angle:
- 2θ = 22.90°, rel. 245
- 2θ = 28.31°, rel. 151
- 2θ = 35.66°, rel. 1000
- 2θ = 36.44°, rel. 930
- 2θ = 51.81°, rel. 116
- 2θ = 51.97°, rel. 224
- 2θ = 63.59°, rel. 118
- 2θ = 65.12°, rel. 228

Cell and atoms:
```
Sc2Cd3Hg4
1.0
4.2740 -2.4630 0.0000
4.2740 2.4630 0.0000
-0.0265 0.0000 9.3503
Sc Cd Hg
2 3 4
Direct
0.1667 0.1667 0.2102
0.8333 0.8333 0.7898
0.1668 0.1668 0.5561
0.5000 0.5000 0.0000
0.8332 0.8332 0.4439
0.1666 0.1666 0.8883
0.5000 0.5000 0.3287
0.5000 0.5000 0.6713
0.8334 0.8334 0.1117
```

=====

[3]
ScCd8Hg6: calculated powder XRD pattern (Cu Kα (weighted mean of Kα1 and Kα2)), based on a DFT-relaxed cell (GGA-PBE, Alexandria).

The 8 most intense peaks (5 to 70 degrees two-theta), by angle:
- 2θ = 25.57°, rel. 347
- 2θ = 31.72°, rel. 484
- 2θ = 34.83°, rel. 1000
- 2θ = 34.93°, rel. 756
- 2θ = 36.06°, rel. 454
- 2θ = 40.84°, rel. 417
- 2θ = 59.35°, rel. 269
- 2θ = 67.47°, rel. 359

Cell and atoms:
```
ScCd8Hg6
1.0
4.0948 2.3641 6.2079
-4.0948 2.3641 6.2079
0.0000 -4.7283 6.2079
Sc Cd Hg
1 8 6
Direct
0.0000 0.0000 0.0000
0.1103 0.7299 0.7299
0.2701 0.2701 0.8897
0.2701 0.8897 0.2701
0.4212 0.4212 0.4212
0.5788 0.5788 0.5788
0.7299 0.1103 0.7299
0.7299 0.7299 0.1103
0.8897 0.2701 0.2701
0.1614 0.1614 0.5490
0.1614 0.5490 0.1614
0.4510 0.8386 0.8386
0.5490 0.1614 0.1614
0.8386 0.4510 0.8386
0.8386 0.8386 0.4510
```

=====

[4]
ScCd4Hg: calculated powder XRD pattern (Cu Kα (weighted mean of Kα1 and Kα2)), based on a DFT-relaxed cell (GGA-PBE, Alexandria).

The 8 most intense peaks (5 to 70 degrees two-theta), by angle:
- 2θ = 23.72°, rel. 258
- 2θ = 33.50°, rel. 544
- 2θ = 35.64°, rel. 507
- 2θ = 35.97°, rel. 483
- 2θ = 36.32°, rel. 1000
- 2θ = 37.45°, rel. 417
- 2θ = 48.54°, rel. 187
- 2θ = 64.88°, rel. 151

Cell and atoms:
```
ScCd4Hg
1.0
6.2931 0.0000 0.0000
0.0000 8.5423 0.0000
-0.6617 0.0000 4.9941
Sc Cd Hg
2 8 2
Direct
0.0000 0.0000 0.0000
0.0000 0.5000 0.5000
0.2402 0.1688 0.5288
0.2402 0.3312 0.0288
0.2416 0.6687 0.0280
0.2416 0.8313 0.5280
0.7584 0.1687 0.4720
0.7584 0.3313 0.9720
0.7598 0.6688 0.9712
0.7598 0.8312 0.4712
0.5000 0.0000 0.0000
0.5000 0.5000 0.5000
```

=====

[5]
Sc2Cd2Hg7: calculated powder XRD pattern (Cu Kα (weighted mean of Kα1 and Kα2)), based on a DFT-relaxed cell (GGA-PBE, Alexandria).

The 8 most intense peaks (5 to 70 degrees two-theta), by angle:
- 2θ = 29.39°, rel. 349
- 2θ = 30.09°, rel. 348
- 2θ = 31.63°, rel. 303
- 2θ = 33.96°, rel. 561
- 2θ = 34.50°, rel. 1000
- 2θ = 34.62°, rel. 690
- 2θ = 36.79°, rel. 701
- 2θ = 48.87°, rel. 302

Cell and atoms:
```
Sc2Cd2Hg7
1.0
-1.7016 9.1182 4.2956
1.7016 -9.1182 4.2956
1.7016 9.1182 -4.2956
Sc Cd Hg
2 2 7
Direct
0.2472 0.0000 0.2472
0.7528 0.0000 0.7528
0.3878 0.8878 0.5000
0.7468 0.7468 0.0000
0.0500 0.7051 0.3449
0.0853 0.0853 0.0000
0.3602 0.7051 0.6551
0.3883 0.5108 0.8776
0.6332 0.5108 0.1224
0.6745 0.3197 0.3548
0.9649 0.3197 0.6452
```

=====

[6]
ScCd6Hg: calculated powder XRD pattern (Cu Kα (weighted mean of Kα1 and Kα2)), based on a DFT-relaxed cell (GGA-PBE, Alexandria).

The 8 most intense peaks (5 to 70 degrees two-theta), by angle:
- 2θ = 34.87°, rel. 1000
- 2θ = 36.95°, rel. 192
- 2θ = 39.32°, rel. 189
- 2θ = 44.84°, rel. 121
- 2θ = 55.05°, rel. 117
- 2θ = 61.14°, rel. 93
- 2θ = 65.24°, rel. 113
- 2θ = 68.43°, rel. 147

Cell and atoms:
```
ScCd6Hg
1.0
4.0423 -4.8658 0.0000
4.0423 4.8658 0.0000
0.0000 0.0000 4.5829
Sc Cd Hg
1 6 1
Direct
0.0000 0.0000 0.0000
0.0000 0.5000 0.0000
0.2180 0.7820 0.5000
0.2700 0.2700 0.5000
0.5000 0.0000 0.0000
0.7300 0.7300 0.5000
0.7820 0.2180 0.5000
0.5000 0.5000 0.0000
```

=====

[7]
Sc2Cd3Hg3: calculated powder XRD pattern (Cu Kα (weighted mean of Kα1 and Kα2)), based on a DFT-relaxed cell (GGA-PBE, Alexandria).

The 8 most intense peaks (5 to 70 degrees two-theta), by angle:
- 2θ = 21.98°, rel. 58
- 2θ = 25.43°, rel. 177
- 2θ = 36.27°, rel. 1000
- 2θ = 44.85°, rel. 42
- 2θ = 52.24°, rel. 173
- 2θ = 59.02°, rel. 39
- 2θ = 65.13°, rel. 87
- 2θ = 65.29°, rel. 264

Cell and atoms:
```
Sc2Cd3Hg3
1.0
2.4741 1.4284 8.1053
-2.4741 1.4284 8.1053
0.0000 -2.8568 8.1053
Sc Cd Hg
2 3 3
Direct
0.0000 0.0000 0.0000
0.4946 0.4946 0.4946
0.2472 0.2472 0.2472
0.7478 0.7478 0.7478
0.8735 0.8735 0.8735
0.1244 0.1244 0.1244
0.3715 0.3715 0.3715
0.6200 0.6200 0.6200
```

=====

[8]
Sc3CdHg2: calculated powder XRD pattern (Cu Kα (weighted mean of Kα1 and Kα2)), based on a DFT-relaxed cell (GGA-PBE, Alexandria).

The 8 most intense peaks (5 to 70 degrees two-theta), by angle:
- 2θ = 25.20°, rel. 420
- 2θ = 25.38°, rel. 206
- 2θ = 35.93°, rel. 506
- 2θ = 36.06°, rel. 1000
- 2θ = 44.50°, rel. 197
- 2θ = 51.73°, rel. 176
- 2θ = 58.43°, rel. 181
- 2θ = 64.68°, rel. 354

Cell and atoms:
```
Sc3CdHg2
1.0
3.5343 0.0000 0.0000
0.0000 3.5343 0.0000
0.0000 0.0000 10.5293
Sc Cd Hg
3 1 2
Direct
0.0000 0.0000 0.0000
0.0000 0.0000 0.3311
0.0000 0.0000 0.6689
0.5000 0.5000 0.5000
0.5000 0.5000 0.1691
0.5000 0.5000 0.8309
```